For MnH6SO6, the GGA+U geometry in Alexandria gives the simulated powder diffraction line list in this record (a wavelength of 1.5418 Å).
Intensities are scaled so that the largest is 100.

Crystal structure
```
data_MnH6SO6
_cell_length_a 6.7502
_cell_length_b 8.9604
_cell_length_c 10.5024
_cell_angle_alpha 90.00
_cell_angle_beta 123.89
_cell_angle_gamma 90.00
_symmetry_space_group_name_H-M 'P 1 21/c 1'
_symmetry_Int_Tables_number 14
loop_
_symmetry_equiv_pos_as_xyz
'x,y,z'
'-x,-y,-z'
'-x,y+1/2,-z+1/2'
'x,-y+1/2,z+1/2'
loop_
_atom_site_label
_atom_site_type_symbol
_atom_site_fract_x
_atom_site_fract_y
_atom_site_fract_z
Mn1 Mn 0.2110 0.2402 0.1405
H1 H 0.2183 0.5187 0.4779
H2 H 0.3166 0.6891 0.7723
H3 H 0.3272 0.6703 0.1038
H4 H 0.4748 0.5432 0.8531
H5 H 0.4764 0.6712 0.0259
H6 H 0.4801 0.0092 0.1315
S1 S 0.0080 0.5687 0.1756
O1 O 0.0492 0.6368 0.3243
O2 O 0.0700 0.7002 0.1038
O3 O 0.2177 0.0417 0.7353
O4 O 0.3096 0.0391 0.0751
O5 O 0.4729 0.6543 0.8616
O6 O 0.4889 0.6541 0.1244
```

Most intense lines, 15 to 90 degrees two-theta, in order of rising 2θ:
2θ (°), d [Å], I_rel, hkl
15.82, 5.603, 51, 1 0 0
18.68, 4.751, 100, 1 1 0
22.31, 3.985, 67, 0 2 1
22.68, 3.920, 55, 0 1 2
26.54, 3.359, 87, 1 2 -2
28.39, 3.144, 60, 2 1 -2
29.26, 3.052, 65, 2 1 -1
32.32, 2.770, 93, 1 0 2



For Mn2H2SO6, the GGA+U geometry in Alexandria gives the simulated powder diffraction line list in this record (a wavelength of 1.5418 Å).
Intensities are scaled so that the largest is 100.

Crystal structure
```
data_Mn2H2SO6
_cell_length_a 11.4239
_cell_length_b 7.6071
_cell_length_c 6.2416
_cell_angle_alpha 90.00
_cell_angle_beta 115.91
_cell_angle_gamma 90.00
_symmetry_space_group_name_H-M 'C 1 2/c 1'
_symmetry_Int_Tables_number 15
loop_
_symmetry_equiv_pos_as_xyz
'x,y,z'
'-x,-y,-z'
'-x,y,-z+1/2'
'x,-y,z+1/2'
'x+1/2,y+1/2,z'
'-x+1/2,-y+1/2,-z'
'-x+1/2,y+1/2,-z+1/2'
'x+1/2,-y+1/2,z+1/2'
loop_
_atom_site_label
_atom_site_type_symbol
_atom_site_fract_x
_atom_site_fract_y
_atom_site_fract_z
Mn1 Mn 0.2490 0.0980 0.1810
H1 H 0.0920 0.1391 0.6908
S1 S 0.0000 0.3129 0.2500
O1 O 0.0467 0.2024 0.1067
O2 O 0.1100 0.4271 0.4141
O3 O 0.1854 0.1328 0.7979
```

Most intense lines, 15 to 90 degrees two-theta, in order of rising 2θ:
2θ (°), d [Å], I_rel, hkl
17.26, 5.138, 46, 2 0 0
24.15, 3.686, 63, 1 1 1
26.56, 3.356, 57, 3 1 -1
29.21, 3.057, 38, 2 2 0
29.41, 3.037, 100, 2 2 -1
31.42, 2.847, 27, 1 1 -2
31.88, 2.807, 30, 0 0 2
34.93, 2.569, 28, 4 0 0



For MnHSeO4, the GGA+U geometry in Alexandria gives the simulated powder diffraction line list in this record (a wavelength of 1.5418 Å).
Intensities are scaled so that the largest is 100.

Crystal structure
```
data_MnHSeO4
_cell_length_a 7.1641
_cell_length_b 8.4989
_cell_length_c 6.8464
_cell_angle_alpha 90.00
_cell_angle_beta 114.20
_cell_angle_gamma 90.00
_symmetry_space_group_name_H-M 'C 1 2/c 1'
_symmetry_Int_Tables_number 15
loop_
_symmetry_equiv_pos_as_xyz
'x,y,z'
'-x,-y,-z'
'-x,y,-z+1/2'
'x,-y,z+1/2'
'x+1/2,y+1/2,z'
'-x+1/2,-y+1/2,-z'
'-x+1/2,y+1/2,-z+1/2'
'x+1/2,-y+1/2,z+1/2'
loop_
_atom_site_label
_atom_site_type_symbol
_atom_site_fract_x
_atom_site_fract_y
_atom_site_fract_z
Mn1 Mn 0.0000 0.0000 0.0000
H1 H 0.0000 0.0565 0.2500
Se1 Se 0.0000 0.3277 0.7500
O1 O 0.0955 0.2138 0.6089
O2 O 0.1884 0.4388 0.9166
```

Most intense lines, 15 to 90 degrees two-theta, in order of rising 2θ:
2θ (°), d [Å], I_rel, hkl
18.36, 4.833, 100, 1 1 -1
25.35, 3.513, 30, 0 2 1
25.66, 3.471, 53, 1 1 1
27.29, 3.267, 40, 2 0 0
28.17, 3.168, 65, 1 1 -2
32.85, 2.727, 20, 2 2 -1
34.51, 2.599, 35, 1 3 0
35.68, 2.516, 27, 0 2 2